Diffraction record for LiHgSbO4. The powder X-ray diffraction pattern is theoretical, not measured: it uses DFT lattice parameters and positions (GGA-PBE) and Cu Kα.
Neutral-atom scattering factors, no anomalous dispersion.

Atomic structure:
```
data_LiHgSbO4
_chemical_formula_sum 'Li2 Hg2 Sb2 O8'
_symmetry_space_group_name_H-M 'I -4'
_symmetry_Int_Tables_number 82
_cell_length_a 5.0639
_cell_length_b 5.0639
_cell_length_c 8.8015
_cell_angle_alpha 90.00
_cell_angle_beta 90.00
_cell_angle_gamma 90.00
loop_
_symmetry_equiv_pos_as_xyz
'x,y,z'
'y,-x,-z'
'-x,-y,z'
'-y,x,-z'
'x+1/2,y+1/2,z+1/2'
'y+1/2,-x+1/2,-z+1/2'
'-x+1/2,-y+1/2,z+1/2'
'-y+1/2,x+1/2,-z+1/2'
loop_
_atom_site_label
_atom_site_type_symbol
_atom_site_fract_x
_atom_site_fract_y
_atom_site_fract_z
Li1 Li 0.0000 0.0000 0.0000
Hg1 Hg 0.0000 0.5000 0.2500
Sb1 Sb 0.0000 0.5000 0.7500
O1 O 0.1877 0.7483 0.8733
```

Largest 6 diffraction maxima, in order of rising 2θ, 2θ from 15° to 90°:
Position (°2θ)	I/Imax	(hkl)
20.19	85	0 0 2
24.87	87	1 1 0
32.23	100	1 1 2
35.44	31	2 0 0
41.13	54	2 0 2
61.63	31	1 3 2